For Li2LaPd, a PBE-relaxed structure gives the theoretical powder diffraction line list in this record (a wavelength of 1.5418 Å).
Peak positions follow from Bragg's law for the DFT cell and can differ from measured ones.

Atomic structure:
a b c (Å): 4.134 8.231 5.573
angles (deg): 90.00 111.64 90.00
Element x y z (fractional)
Li1 0.165 0.056 0.330
Li2 0.165 0.444 0.330
Li3 0.835 0.556 0.670
Li4 0.835 0.944 0.670
La1 0.442 0.250 0.888
La2 0.558 0.750 0.112
Pd1 0.268 0.750 0.536
Pd2 0.732 0.250 0.464

The 8 most intense peaks (10° ≤ 2θ ≤ 80°), sorted by position:
Position (°2θ)	I/Imax
21.59	100
23.17	54
31.88	55
35.59	96
36.36	32
43.80	18
47.71	42
49.34	22

***

For MnCoTcGeSe, a PBE-relaxed structure gives the theoretical powder diffraction line list in this record (a wavelength of 1.5418 Å).
Peak positions follow from Bragg's law for the DFT cell and can differ from measured ones.

Atomic structure:
a b c (Å): 7.190 3.945 5.343
angles (deg): 90.00 97.00 90.00
Element x y z (fractional)
Mn1 0.000 0.000 0.000
Mn2 0.500 0.500 0.000
Co1 0.414 0.000 0.589
Co2 0.914 0.500 0.589
Tc1 0.347 0.000 0.128
Tc2 0.847 0.500 0.128
Ge1 0.173 0.500 0.884
Ge2 0.673 0.000 0.884
Se1 0.060 0.000 0.445
Se2 0.560 0.500 0.445

The 8 most intense peaks (10° ≤ 2θ ≤ 80°), sorted by position:
Position (°2θ)	I/Imax
28.40	37
30.04	33
31.75	45
41.71	100
44.47	100
45.01	60
46.02	98
66.33	39

***

For MnZnGa4Se8, a PBE-relaxed structure gives the theoretical powder diffraction line list in this record (a wavelength of 1.5418 Å).
Peak positions follow from Bragg's law for the DFT cell and can differ from measured ones.

Atomic structure:
a b c (Å): 5.667 5.667 11.045
angles (deg): 90.00 90.00 90.00
Element x y z (fractional)
Mn1 0.000 0.000 0.000
Zn1 0.500 0.500 0.500
Ga1 0.000 0.000 0.500
Ga2 0.000 0.500 0.252
Ga3 0.500 0.000 0.748
Ga4 0.500 0.500 0.000
Se1 0.235 0.257 0.632
Se2 0.246 0.734 0.866
Se3 0.257 0.765 0.368
Se4 0.266 0.246 0.134
Se5 0.734 0.754 0.134
Se6 0.743 0.235 0.368
Se7 0.754 0.266 0.866
Se8 0.765 0.743 0.632

The 8 most intense peaks (10° ≤ 2θ ≤ 80°), sorted by position:
Position (°2θ)	I/Imax
17.59	7
27.50	100
45.26	24
45.89	45
53.78	29
54.89	13
65.93	7
73.79	10

***

For Li6Si2Ag, a PBE-relaxed structure gives the theoretical powder diffraction line list in this record (a wavelength of 1.5418 Å).
Peak positions follow from Bragg's law for the DFT cell and can differ from measured ones.

Atomic structure:
a b c (Å): 5.090 5.090 5.090
angles (deg): 96.21 96.21 96.21
Element x y z (fractional)
Li1 0.000 0.328 0.672
Li2 0.000 0.672 0.328
Li3 0.328 0.000 0.672
Li4 0.328 0.672 0.000
Li5 0.672 0.000 0.328
Li6 0.672 0.328 0.000
Si1 0.168 0.168 0.168
Si2 0.832 0.832 0.832
Ag1 0.500 0.500 0.500

The 8 most intense peaks (10° ≤ 2θ ≤ 80°), sorted by position:
Position (°2θ)	I/Imax
17.66	53
23.48	100
26.57	21
41.27	36
42.13	58
54.81	17
60.43	23
75.82	20

***

For Pr2Nd2Y, a PBE-relaxed structure gives the theoretical powder diffraction line list in this record (a wavelength of 1.5418 Å).
Peak positions follow from Bragg's law for the DFT cell and can differ from measured ones.

Atomic structure:
a b c (Å): 8.758 8.758 6.994
angles (deg): 103.86 103.86 43.09
Element x y z (fractional)
Pr1 0.115 0.284 0.152
Pr2 0.284 0.115 0.652
Pr3 0.716 0.885 0.348
Pr4 0.885 0.716 0.848
Nd1 0.319 0.484 0.549
Nd2 0.484 0.319 0.049
Nd3 0.516 0.681 0.951
Nd4 0.681 0.516 0.451
Y1 0.082 0.918 0.250
Y2 0.918 0.082 0.750

The 8 most intense peaks (10° ≤ 2θ ≤ 80°), sorted by position:
Position (°2θ)	I/Imax
27.76	23
30.09	25
31.66	100
41.40	16
49.10	19
54.46	14
58.63	11
58.71	11

***

For RbSb5S8, a PBE-relaxed structure gives the theoretical powder diffraction line list in this record (a wavelength of 1.5418 Å).
Peak positions follow from Bragg's law for the DFT cell and can differ from measured ones.

Atomic structure:
a b c (Å): 9.695 9.695 10.927
angles (deg): 104.23 104.23 23.41
Element x y z (fractional)
Rb1 0.000 0.000 0.000
Sb1 0.173 0.173 0.481
Sb2 0.210 0.210 0.879
Sb3 0.495 0.495 0.438
Sb4 0.809 0.809 0.212
Sb5 0.868 0.868 0.604
S1 0.072 0.072 0.595
S2 0.310 0.310 0.383
S3 0.328 0.328 0.039
S4 0.419 0.419 0.750
S5 0.596 0.596 0.327
S6 0.653 0.653 0.974
S7 0.745 0.745 0.654
S8 0.946 0.946 0.263

The 8 most intense peaks (10° ≤ 2θ ≤ 80°), sorted by position:
Position (°2θ)	I/Imax
19.03	37
21.39	40
27.11	38
29.40	100
34.57	53
35.43	43
46.15	34
49.07	37

***

For Er3ThTl3, a PBE-relaxed structure gives the theoretical powder diffraction line list in this record (a wavelength of 1.5418 Å).
Peak positions follow from Bragg's law for the DFT cell and can differ from measured ones.

Atomic structure:
a b c (Å): 9.127 9.127 5.631
angles (deg): 90.00 90.00 120.00
Element x y z (fractional)
Er1 0.095 0.640 0.250
Er2 0.360 0.455 0.250
Er3 0.455 0.095 0.750
Er4 0.545 0.905 0.250
Er5 0.640 0.545 0.750
Er6 0.905 0.360 0.750
Th1 0.333 0.667 0.750
Th2 0.667 0.333 0.250
Tl1 0.041 0.802 0.750
Tl2 0.198 0.239 0.750
Tl3 0.239 0.041 0.250
Tl4 0.761 0.959 0.750
Tl5 0.802 0.761 0.250
Tl6 0.959 0.198 0.250

The 8 most intense peaks (10° ≤ 2θ ≤ 80°), sorted by position:
Position (°2θ)	I/Imax
29.91	23
31.78	27
33.97	100
44.20	16
53.09	20
58.03	22
63.22	22
64.55	15

***

For PrIn6S8, a PBE-relaxed structure gives the theoretical powder diffraction line list in this record (a wavelength of 1.5418 Å).
Peak positions follow from Bragg's law for the DFT cell and can differ from measured ones.

Atomic structure:
a b c (Å): 7.234 7.234 7.234
angles (deg): 94.78 94.78 94.78
Element x y z (fractional)
Pr1 0.000 0.000 0.000
In1 0.230 0.337 0.620
In2 0.337 0.620 0.230
In3 0.380 0.770 0.663
In4 0.620 0.230 0.337
In5 0.663 0.380 0.770
In6 0.770 0.663 0.380
S1 0.096 0.824 0.364
S2 0.176 0.636 0.904
S3 0.261 0.261 0.261
S4 0.364 0.096 0.824
S5 0.636 0.904 0.176
S6 0.739 0.739 0.739
S7 0.824 0.364 0.096
S8 0.904 0.176 0.636

The 8 most intense peaks (10° ≤ 2θ ≤ 80°), sorted by position:
Position (°2θ)	I/Imax
18.25	29
26.74	100
30.02	70
36.99	25
37.59	25
40.82	24
41.37	21
45.05	34

***

Q: Which formula does entry 7 have?
A: Er3ThTl3

***

Q: Number 7 is which compound?
A: Er3ThTl3